1.
This entry pairs a crystal structure of MgCd with its simulated powder X-ray diffraction pattern. Radiation: Cu Kα (weighted mean of Kα1 and Kα2). Structure: a cell relaxed with PBE.
Kinematic intensities with the Lorentz-polarization factor, no thermal factor.

Top 6 peaks for 5 to 70 degrees two-theta, sorted by position:
2θ 12.55, I = 810
2θ 30.74, I = 376
2θ 32.52, I = 377
2θ 34.87, I = 510
2θ 36.77, I = 805
2θ 37.28, I = 1000

Structural model:
Cell: 6.094 6.094 7.327 Å, 105.13 105.13 30.51°
Sites, in units of the cell vectors:
Mg  0.000  0.000  0.000
Mg  0.334  0.334  0.658
Mg  0.611  0.611  0.719
Cd  0.276  0.276  0.041
Cd  0.668  0.668  0.334
Cd  0.944  0.944  0.387



2.
This entry pairs a crystal structure of Ca3SiO5 with its simulated powder X-ray diffraction pattern. Radiation: Cu Kα (weighted mean of Kα1 and Kα2). Structure: a cell relaxed with PBE.
Kinematic intensities with the Lorentz-polarization factor, no thermal factor.

Top 6 peaks for 5 to 70 degrees two-theta, sorted by position:
2θ 29.01, I = 868
2θ 30.98, I = 778
2θ 31.99, I = 1000
2θ 33.67, I = 633
2θ 51.03, I = 836
2θ 54.64, I = 606

Structural model:
Cell: 9.595 9.595 9.595 Å, 43.81 43.81 43.81°
Sites, in units of the cell vectors:
Ca  0.011  0.494  0.494
Ca  0.238  0.714  0.714
Ca  0.285  0.285  0.738
Ca  0.285  0.738  0.285
Ca  0.494  0.011  0.494
Ca  0.494  0.494  0.011
Ca  0.714  0.238  0.714
Ca  0.714  0.714  0.238
Ca  0.738  0.285  0.285
Si  0.212  0.212  0.212
Si  0.777  0.777  0.777
Si  0.997  0.997  0.997
O  0.008  0.631  0.631
O  0.143  0.143  0.767
O  0.143  0.767  0.143
O  0.147  0.147  0.147
O  0.359  0.359  0.985
O  0.359  0.985  0.359
O  0.379  0.379  0.379
O  0.498  0.498  0.498
O  0.627  0.627  0.627
O  0.631  0.008  0.631
O  0.631  0.631  0.008
O  0.767  0.143  0.143
O  0.840  0.840  0.840
O  0.934  0.934  0.934
O  0.985  0.359  0.359



3.
This entry pairs a crystal structure of LiAgF2 with its simulated powder X-ray diffraction pattern. Radiation: Cu Kα (weighted mean of Kα1 and Kα2). Structure: a cell relaxed with PBE.
Kinematic intensities with the Lorentz-polarization factor, no thermal factor.

Top 6 peaks for 5 to 70 degrees two-theta, sorted by position:
2θ 16.37, I = 1000
2θ 27.45, I = 788
2θ 32.12, I = 460
2θ 32.60, I = 605
2θ 39.61, I = 307
2θ 43.87, I = 398

Structural model:
Cell: 11.487 3.187 6.140 Å, 90.00 90.00 90.00°
Sites, in units of the cell vectors:
Li  0.072  0.250  0.114
Li  0.428  0.750  0.614
Li  0.572  0.250  0.386
Li  0.928  0.750  0.886
Ag  0.133  0.750  0.560
Ag  0.367  0.250  0.060
Ag  0.633  0.750  0.940
Ag  0.867  0.250  0.440
F  0.018  0.250  0.816
F  0.200  0.250  0.290
F  0.300  0.750  0.790
F  0.482  0.750  0.316
F  0.518  0.250  0.684
F  0.700  0.250  0.210
F  0.800  0.750  0.710
F  0.982  0.750  0.184



4.
This entry pairs a crystal structure of CsPdF3 with its simulated powder X-ray diffraction pattern. Radiation: Cu Kα (weighted mean of Kα1 and Kα2). Structure: a cell relaxed with PBE.
Kinematic intensities with the Lorentz-polarization factor, no thermal factor.

Top 6 peaks for 5 to 70 degrees two-theta, sorted by position:
2θ 28.60, I = 1000
2θ 35.21, I = 52
2θ 40.89, I = 346
2θ 50.65, I = 409
2θ 59.20, I = 218
2θ 67.05, I = 179

Structural model:
Cell: 4.414 4.414 4.414 Å, 90.00 90.00 90.00°
Sites, in units of the cell vectors:
Cs  0.000  0.000  0.000
Pd  0.500  0.500  0.500
F  0.000  0.500  0.500
F  0.500  0.000  0.500
F  0.500  0.500  0.000



5.
This entry pairs a crystal structure of La2Nb4CuCl2O14 with its simulated powder X-ray diffraction pattern. Radiation: Cu Kα (weighted mean of Kα1 and Kα2). Structure: a cell relaxed with PBE.
Kinematic intensities with the Lorentz-polarization factor, no thermal factor.

Top 6 peaks for 5 to 70 degrees two-theta, sorted by position:
2θ 7.45, I = 1000
2θ 27.27, I = 619
2θ 32.15, I = 312
2θ 32.31, I = 363
2θ 46.35, I = 226
2θ 54.61, I = 171

Structural model:
Cell: 5.541 5.541 11.873 Å, 90.00 90.00 90.00°
Sites, in units of the cell vectors:
La  0.000  0.500  0.000
La  0.500  0.000  0.000
Nb  0.000  0.000  0.193
Nb  0.000  0.000  0.807
Nb  0.500  0.500  0.198
Nb  0.500  0.500  0.802
Cu  0.000  0.000  0.500
Cl  0.000  0.500  0.500
Cl  0.500  0.000  0.500
O  0.000  0.000  0.000
O  0.000  0.000  0.347
O  0.000  0.000  0.653
O  0.249  0.249  0.154
O  0.249  0.249  0.846
O  0.249  0.751  0.154
O  0.249  0.751  0.846
O  0.500  0.500  0.000
O  0.500  0.500  0.346
O  0.500  0.500  0.654
O  0.751  0.249  0.154
O  0.751  0.249  0.846
O  0.751  0.751  0.154
O  0.751  0.751  0.846



6.
This entry pairs a crystal structure of HfMg6C with its simulated powder X-ray diffraction pattern. Radiation: Cu Kα (weighted mean of Kα1 and Kα2). Structure: a cell relaxed with PBE.
Kinematic intensities with the Lorentz-polarization factor, no thermal factor.

Top 6 peaks for 5 to 70 degrees two-theta, sorted by position:
2θ 14.68, I = 599
2θ 17.91, I = 1000
2θ 26.06, I = 964
2θ 33.58, I = 608
2θ 35.29, I = 753
2θ 41.15, I = 704

Structural model:
Cell: 4.728 6.617 6.617 Å, 48.45 90.00 90.00°
Sites, in units of the cell vectors:
Hf  0.000  0.000  0.000
Mg  0.000  0.013  0.507
Mg  0.000  0.507  0.013
Mg  0.500  0.143  0.639
Mg  0.500  0.155  0.155
Mg  0.500  0.608  0.608
Mg  0.500  0.639  0.143
C  0.000  0.434  0.434



- Which formula does entry 4 have?
  CsPdF3